Entry 1:
Computed X-ray powder pattern of RbMg14Mn for λ = 1.5418 Å (Cu Kα), from a DFT-relaxed cell (PBE, the Materials Project).

Structural model:
Cell lengths 6.4908, 6.4908, 10.4237 Å; angles 90.00, 90.00, 120.00 degrees
Space group P-6m2 (No. 187)
Asymmetric unit:
1 Rb 0.0000 0.0000 0.0000 x1
2 Mg 0.0106 0.5053 0.0000 x3
3 Mg 0.1628 0.3257 0.2824 x6
4 Mg 0.5059 0.0118 0.5000 x3
5 Mg 0.6667 0.3333 0.2414 x2
6 Mn 0.0000 0.0000 0.5000 x1

Main lines, in order of falling intensity (2θ = 10–80°):
| 2theta | intensity |
| --- | --- |
| 36.32 | 1000 |
| 31.84 | 274 |
| 34.41 | 219 |
| 15.77 | 198 |
| 56.73 | 178 |
| 47.58 | 163 |
| 68.06 | 162 |
| 23.27 | 141 |
| 69.25 | 136 |
| 62.89 | 132 |

Entry 2:
Computed X-ray powder pattern of MgMn4S8 for λ = 1.5418 Å (Cu Kα), from a DFT-relaxed cell (PBE, the Materials Project).

Structural model:
Cell lengths 6.9310, 6.9310, 17.1497 Å; angles 90.00, 90.00, 120.00 degrees
Space group R-3m (No. 166, hexagonal axes)
Asymmetric unit:
1 Mg 0.0000 0.0000 0.0000 x3
2 Mn 0.0000 0.0000 0.5000 x3
3 Mn 0.0000 0.5000 0.0000 x9
4 S 0.0000 0.0000 0.2595 x6
5 S 0.0211 0.5106 0.2545 x18

Main lines, in order of falling intensity (2θ = 10–80°):
| 2theta | intensity |
| --- | --- |
| 36.55 | 1000 |
| 15.64 | 397 |
| 15.50 | 337 |
| 52.45 | 308 |
| 52.84 | 307 |
| 30.20 | 196 |
| 65.95 | 146 |
| 77.67 | 87 |
| 55.42 | 81 |
| 47.93 | 70 |

Entry 3:
Computed X-ray powder pattern of MgMn4S8 for λ = 1.5418 Å (Cu Kα), from a DFT-relaxed cell (PBE, the Materials Project).

Structural model:
Cell lengths 6.977, 6.994, 9.878 Å; angles 90.00, 90.00, 90.00 degrees
Space group Imm2 (No. 44)
Asymmetric unit:
1 Mg 0.000 0.000 0.000 x2
2 Mn 0.000 0.239 0.621 x4
3 Mn 0.238 0.000 0.382 x4
4 S 0.000 0.229 0.387 x4
5 S 0.000 0.280 0.862 x4
6 S 0.222 0.500 0.641 x4
7 S 0.229 0.000 0.616 x4

Main lines, in order of falling intensity (2θ = 10–80°):
| 2theta | intensity |
| --- | --- |
| 36.38 | 1000 |
| 15.54 | 965 |
| 52.38 | 618 |
| 30.00 | 492 |
| 47.85 | 367 |
| 54.98 | 127 |
| 52.46 | 123 |
| 77.26 | 97 |
| 65.40 | 89 |
| 65.52 | 89 |

Entry 4:
Computed X-ray powder pattern of MgMn4S8 for λ = 1.5418 Å (Cu Kα), from a DFT-relaxed cell (PBE, the Materials Project).

Structural model:
Cell lengths 6.7610, 6.7610, 18.4654 Å; angles 90.00, 90.00, 120.00 degrees
Space group R-3m (No. 166, hexagonal axes)
Asymmetric unit:
1 Mg 0.0000 0.0000 0.0000 x3
2 Mn 0.0000 0.0000 0.5000 x3
3 Mn 0.0000 0.5000 0.5000 x9
4 S 0.0000 0.0000 0.2376 x6
5 S 0.0079 0.5040 0.7607 x18

Main lines, in order of falling intensity (2θ = 10–80°):
| 2theta | intensity |
| --- | --- |
| 36.34 | 1000 |
| 14.39 | 924 |
| 50.34 | 318 |
| 54.27 | 291 |
| 30.93 | 203 |
| 46.33 | 193 |
| 67.08 | 141 |
| 56.46 | 126 |
| 63.93 | 94 |
| 77.16 | 83 |

Entry 5:
Computed X-ray powder pattern of Mg2Sc3MnS8 for λ = 1.5418 Å (Cu Kα), from a DFT-relaxed cell (PBE, the Materials Project).

Structural model:
Cell lengths 12.960, 7.516, 7.478 Å; angles 90.00, 124.81, 90.00 degrees
Space group C2/m (No. 12)
Asymmetric unit:
1 Mg 0.125 0.000 0.375 x4
2 Sc 0.000 0.500 0.500 x2
3 Sc 0.250 0.250 0.000 x4
4 Mn 0.000 0.500 0.000 x2
5 S 0.007 0.271 0.765 x8
6 S 0.236 0.500 0.223 x4
7 S 0.242 0.500 0.757 x4

Main lines, in order of falling intensity (2θ = 10–80°):
| 2theta | intensity |
| --- | --- |
| 33.82 | 1000 |
| 48.65 | 756 |
| 48.38 | 750 |
| 14.43 | 707 |
| 33.69 | 507 |
| 27.89 | 442 |
| 27.81 | 383 |
| 44.38 | 222 |
| 60.30 | 215 |
| 27.99 | 184 |

Entry 6:
Computed X-ray powder pattern of Mg2ScMn3S8 for λ = 1.5418 Å (Cu Kα), from a DFT-relaxed cell (PBE, the Materials Project).

Structural model:
Cell lengths 7.3689, 7.3689, 18.0347 Å; angles 90.00, 90.00, 120.00 degrees
Space group R-3m (No. 166, hexagonal axes)
Asymmetric unit:
1 Mg 0.0000 0.0000 0.1252 x6
2 Sc 0.0000 0.0000 0.5000 x3
3 Mn 0.0000 0.5000 0.0000 x9
4 S 0.0000 0.0000 0.2615 x6
5 S 0.0229 0.5114 0.2584 x18

Main lines, in order of falling intensity (2θ = 10–80°):
| 2theta | intensity |
| --- | --- |
| 34.43 | 1000 |
| 49.49 | 967 |
| 28.41 | 711 |
| 14.73 | 674 |
| 45.23 | 448 |
| 61.68 | 186 |
| 69.27 | 132 |
| 72.59 | 131 |
| 51.92 | 121 |
| 79.71 | 100 |

Entry 7:
Computed X-ray powder pattern of SmMgMnS4 for λ = 1.5418 Å (Cu Kα), from a DFT-relaxed cell (PBE, the Materials Project).

Structural model:
Cell lengths 7.657, 7.868, 10.622 Å; angles 90.00, 90.00, 90.00 degrees
Space group Imma (No. 74)
Asymmetric unit:
1 Sm 0.000 0.000 0.000 x4
2 Mg 0.000 0.250 0.375 x4
3 Mn 0.250 0.250 0.750 x4
4 S 0.000 0.031 0.741 x8
5 S 0.249 0.250 0.522 x8

Main lines, in order of falling intensity (2θ = 10–80°):
| 2theta | intensity |
| --- | --- |
| 14.26 | 1000 |
| 32.64 | 831 |
| 26.83 | 786 |
| 47.66 | 692 |
| 27.76 | 428 |
| 33.75 | 361 |
| 14.01 | 272 |
| 36.09 | 269 |
| 43.10 | 214 |
| 47.50 | 191 |

Entry 8:
Computed X-ray powder pattern of MgTiMnS4 for λ = 1.5418 Å (Cu Kα), from a DFT-relaxed cell (PBE, the Materials Project).

Structural model:
Cell lengths 7.199, 7.339, 10.573 Å; angles 90.00, 90.00, 90.00 degrees
Space group Imma (No. 74)
Asymmetric unit:
1 Mg 0.000 0.250 0.120 x4
2 Ti 0.250 0.250 0.750 x4
3 Mn 0.000 0.000 0.500 x4
4 S 0.000 0.021 0.745 x8
5 S 0.228 0.250 0.516 x8

Main lines, in order of falling intensity (2θ = 10–80°):
| 2theta | intensity |
| --- | --- |
| 49.47 | 1000 |
| 34.92 | 993 |
| 33.92 | 537 |
| 14.89 | 498 |
| 14.69 | 468 |
| 28.58 | 378 |
| 28.89 | 318 |
| 49.69 | 250 |
| 28.19 | 240 |
| 50.73 | 232 |